# 1
The following is a computed X-ray diffraction stick pattern of TbErIn2Ni4. It was derived from a structure optimized by DFT (GGA-PBE), using λ = 1.5418 Å (Cu Kα).
Lines closer than 0.1° are merged.

Largest 10 diffraction maxima, in order of falling intensity, 2θ from 10° to 80°:
| 2θ/deg | I_rel |
| --- | --- |
| 31.14 | 100 |
| 38.45 | 58 |
| 44.03 | 50 |
| 45.24 | 33 |
| 35.26 | 32 |
| 42.63 | 31 |
| 34.01 | 31 |
| 63.90 | 18 |
| 48.56 | 17 |
| 64.93 | 16 |

Cell and atoms:
Cell: 4.009 5.091 6.999 Å, 90.00 90.00 90.00°
Fractional coordinates of all 8 atoms:
Tb (0.000, 0.000, 0.000)
Er (0.000, 0.500, 0.466)
In (0.500, 0.000, 0.377)
In (0.500, 0.500, 0.088)
Ni (0.000, 0.000, 0.618)
Ni (0.000, 0.500, 0.844)
Ni (0.500, 0.252, 0.730)
Ni (0.500, 0.748, 0.730)

# 2
The following is a computed X-ray diffraction stick pattern of Nd4Sc4O11. It was derived from a structure optimized by DFT (GGA-PBE), using λ = 1.5418 Å (Cu Kα).
Lines closer than 0.1° are merged.

Largest 10 diffraction maxima, in order of falling intensity, 2θ from 10° to 80°:
| 2θ/deg | I_rel |
| --- | --- |
| 31.61 | 100 |
| 22.15 | 29 |
| 32.11 | 22 |
| 56.93 | 22 |
| 45.19 | 20 |
| 30.94 | 19 |
| 22.26 | 15 |
| 51.46 | 15 |
| 24.83 | 14 |
| 39.42 | 14 |

Cell and atoms:
Cell: 5.575 7.986 5.781 Å, 90.00 90.11 90.00°
Fractional coordinates of all 19 atoms:
Nd (0.000, 0.000, 0.000)
Nd (0.025, 0.500, 0.102)
Nd (0.488, 0.500, 0.611)
Nd (0.529, 0.000, 0.501)
Sc (0.015, 0.249, 0.555)
Sc (0.015, 0.751, 0.555)
Sc (0.513, 0.251, 0.056)
Sc (0.513, 0.749, 0.056)
O (0.124, 0.000, 0.598)
O (0.213, 0.304, 0.856)
O (0.213, 0.696, 0.856)
O (0.314, 0.306, 0.356)
O (0.314, 0.694, 0.356)
O (0.406, 0.000, 0.098)
O (0.620, 0.500, 0.016)
O (0.713, 0.194, 0.755)
O (0.713, 0.806, 0.755)
O (0.817, 0.195, 0.257)
O (0.817, 0.805, 0.257)

# 3
The following is a computed X-ray diffraction stick pattern of Tm5Te3Ir. It was derived from a structure optimized by DFT (GGA-PBE), using λ = 1.5418 Å (Cu Kα).
Lines closer than 0.1° are merged.

Largest 10 diffraction maxima, in order of falling intensity, 2θ from 10° to 80°:
| 2θ/deg | I_rel |
| --- | --- |
| 33.81 | 100 |
| 31.79 | 59 |
| 39.96 | 54 |
| 31.54 | 46 |
| 59.38 | 27 |
| 36.19 | 23 |
| 58.91 | 21 |
| 20.66 | 20 |
| 56.64 | 19 |
| 48.21 | 18 |

Cell and atoms:
Cell: 8.599 8.599 3.775 Å, 90.00 90.00 120.00°
Fractional coordinates of all 9 atoms:
Tm (0.000, 0.230, 0.000)
Tm (0.230, 0.000, 0.000)
Tm (0.333, 0.667, 0.000)
Tm (0.667, 0.333, 0.000)
Tm (0.770, 0.770, 0.000)
Te (0.000, 0.562, 0.500)
Te (0.438, 0.438, 0.500)
Te (0.562, 0.000, 0.500)
Ir (0.000, 0.000, 0.500)

# 4
The following is a computed X-ray diffraction stick pattern of BaNi2AsP. It was derived from a structure optimized by DFT (GGA-PBE), using λ = 1.5418 Å (Cu Kα).
Lines closer than 0.1° are merged.

Largest 10 diffraction maxima, in order of falling intensity, 2θ from 10° to 80°:
| 2θ/deg | I_rel |
| --- | --- |
| 31.61 | 100 |
| 34.79 | 70 |
| 44.77 | 45 |
| 56.52 | 41 |
| 55.84 | 38 |
| 23.21 | 24 |
| 30.10 | 17 |
| 65.18 | 14 |
| 76.05 | 13 |
| 54.90 | 12 |

Cell and atoms:
Cell: 4.048 4.048 11.877 Å, 90.00 90.00 90.00°
Fractional coordinates of all 10 atoms:
Ba (0.000, 0.000, 0.000)
Ba (0.500, 0.500, 0.500)
Ni (0.000, 0.500, 0.259)
Ni (0.000, 0.500, 0.759)
Ni (0.500, 0.000, 0.259)
Ni (0.500, 0.000, 0.759)
As (0.000, 0.000, 0.656)
As (0.500, 0.500, 0.156)
P (0.000, 0.000, 0.342)
P (0.500, 0.500, 0.842)

# 5
The following is a computed X-ray diffraction stick pattern of Rb2SbAuS4. It was derived from a structure optimized by DFT (GGA-PBE), using λ = 1.5418 Å (Cu Kα).
Lines closer than 0.1° are merged.

Largest 10 diffraction maxima, in order of falling intensity, 2θ from 10° to 80°:
| 2θ/deg | I_rel |
| --- | --- |
| 13.46 | 100 |
| 26.02 | 75 |
| 27.56 | 74 |
| 25.87 | 69 |
| 35.97 | 64 |
| 28.82 | 62 |
| 28.94 | 62 |
| 33.24 | 56 |
| 21.57 | 47 |
| 46.63 | 46 |

Cell and atoms:
Cell: 6.948 20.468 7.315 Å, 90.00 90.00 90.00°
Fractional coordinates of all 32 atoms:
Rb (0.100, 0.171, 0.250)
Rb (0.100, 0.329, 0.750)
Rb (0.296, 0.012, 0.750)
Rb (0.296, 0.488, 0.250)
Rb (0.704, 0.512, 0.750)
Rb (0.704, 0.988, 0.250)
Rb (0.900, 0.671, 0.250)
Rb (0.900, 0.829, 0.750)
Sb (0.207, 0.610, 0.750)
Sb (0.207, 0.890, 0.250)
Sb (0.793, 0.110, 0.750)
Sb (0.793, 0.390, 0.250)
Au (0.392, 0.750, 0.000)
Au (0.392, 0.750, 0.500)
Au (0.608, 0.250, 0.000)
Au (0.608, 0.250, 0.500)
S (0.093, 0.161, 0.750)
S (0.093, 0.339, 0.250)
S (0.201, 0.004, 0.250)
S (0.201, 0.496, 0.750)
S (0.391, 0.637, 0.020)
S (0.391, 0.637, 0.480)
S (0.391, 0.863, 0.520)
S (0.391, 0.863, 0.980)
S (0.609, 0.137, 0.020)
S (0.609, 0.137, 0.480)
S (0.609, 0.363, 0.520)
S (0.609, 0.363, 0.980)
S (0.799, 0.504, 0.250)
S (0.799, 0.996, 0.750)
S (0.907, 0.661, 0.750)
S (0.907, 0.839, 0.250)

# 6
The following is a computed X-ray diffraction stick pattern of K2Ag2W3. It was derived from a structure optimized by DFT (GGA-PBE), using λ = 1.5418 Å (Cu Kα).
Lines closer than 0.1° are merged.

Largest 10 diffraction maxima, in order of falling intensity, 2θ from 10° to 80°:
| 2θ/deg | I_rel |
| --- | --- |
| 14.53 | 100 |
| 41.15 | 76 |
| 29.06 | 59 |
| 39.87 | 43 |
| 41.84 | 40 |
| 43.86 | 40 |
| 35.89 | 26 |
| 34.02 | 26 |
| 46.36 | 17 |
| 53.35 | 17 |

Cell and atoms:
Cell: 12.451 12.451 12.451 Å, 20.30 20.30 20.30°
Fractional coordinates of all 7 atoms:
K (0.000, 0.000, 0.000)
K (0.455, 0.455, 0.455)
Ag (0.186, 0.186, 0.186)
Ag (0.728, 0.728, 0.728)
W (0.261, 0.261, 0.261)
W (0.576, 0.576, 0.576)
W (0.892, 0.892, 0.892)

# 7
The following is a computed X-ray diffraction stick pattern of TmHfCS. It was derived from a structure optimized by DFT (GGA-PBE), using λ = 1.5418 Å (Cu Kα).
Lines closer than 0.1° are merged.

Largest 10 diffraction maxima, in order of falling intensity, 2θ from 10° to 80°:
| 2θ/deg | I_rel |
| --- | --- |
| 36.86 | 100 |
| 30.46 | 39 |
| 29.58 | 30 |
| 52.47 | 29 |
| 28.80 | 20 |
| 65.84 | 18 |
| 60.61 | 18 |
| 60.96 | 16 |
| 41.76 | 15 |
| 70.69 | 13 |

Cell and atoms:
Cell: 3.488 3.488 12.398 Å, 90.00 90.00 120.00°
Fractional coordinates of all 8 atoms:
Tm (0.000, 0.000, 0.151)
Tm (0.000, 0.000, 0.849)
Hf (0.667, 0.333, 0.355)
Hf (0.667, 0.333, 0.645)
C (0.333, 0.667, 0.266)
C (0.333, 0.667, 0.734)
S (0.000, 0.000, 0.500)
S (0.667, 0.333, 0.000)